(1)
BaSrNdCrO6: calculated X-ray diffraction stick pattern (Cu Kα X-rays), based on the GGA+U geometry in Alexandria.
Kinematic intensities with the Lorentz-polarization factor, no thermal factor.

Top 12 peaks for 10 to 90 degrees two-theta, sorted by position:
2θ 18.3, d = 4.843 Å, rel. 22.1, hkl 1 0 1; 2θ 29.9, d = 2.991 Å, rel. 100.0, hkl 1 1 2; 2θ 30.2, d = 2.957 Å, rel. 92.4, hkl 1 -1 2; 2θ 30.3, d = 2.950 Å, rel. 96.2, hkl 0 2 0; 2θ 42.6, d = 2.120 Å, rel. 30.6, hkl 0 0 4; 2θ 42.9, d = 2.110 Å, rel. 28.8, hkl 2 2 0; 2θ 43.9, d = 2.062 Å, rel. 25.9, hkl 2 -2 0; 2θ 53.2, d = 1.721 Å, rel. 30.7, hkl 0 2 -4; 2θ 53.3, d = 1.718 Å, rel. 30.9, hkl 1 3 2; 2θ 54.0, d = 1.699 Å, rel. 27.5, hkl -1 3 2; 2θ 63.0, d = 1.475 Å, rel. 23.4, hkl -2 2 4; 2θ 72.3, d = 1.307 Å, rel. 11.7, hkl 2 -4 0

Crystal structure
```
data_BaSrNdCrO6
_cell_length_a 5.8993
_cell_length_b 5.9030
_cell_length_c 8.4810
_cell_angle_alpha 89.98
_cell_angle_beta 89.75
_cell_angle_gamma 88.69
_symmetry_space_group_name_H-M 'P -1'
_symmetry_Int_Tables_number 2
loop_
_symmetry_equiv_pos_as_xyz
'x,y,z'
'-x,-y,-z'
loop_
_atom_site_label
_atom_site_fract_x
_atom_site_fract_y
_atom_site_fract_z
_atom_site_occupancy
Ba1 0.0135 0.4908 0.2502 1
Sr1 0.4827 0.0106 0.7509 1
Nd1 0.0000 0.0000 0.5000 1
Nd2 0.5000 0.5000 0.0000 1
Cr1 0.0000 0.0000 0.0000 1
Cr2 0.5000 0.5000 0.5000 1
O1 0.0373 0.0287 0.7718 1
O2 0.1845 0.7477 0.9956 1
O3 0.2481 0.6848 0.5076 1
O4 0.2660 0.1892 0.0313 1
O5 0.3088 0.2362 0.4677 1
O6 0.4831 0.4524 0.7282 1
```

***

(2)
BaSrNdCrO6: calculated X-ray diffraction stick pattern (Cu Kα X-rays), based on the GGA+U geometry in Alexandria.
Kinematic intensities with the Lorentz-polarization factor, no thermal factor.

Top 12 peaks for 10 to 90 degrees two-theta, sorted by position:
2θ 18.3, d = 4.857 Å, rel. 10.4, hkl 1 1 1; 2θ 30.0, d = 2.974 Å, rel. 100.0, hkl 2 2 0; 2θ 35.4, d = 2.536 Å, rel. 9.3, hkl 3 1 1; 2θ 37.0, d = 2.428 Å, rel. 3.4, hkl 2 2 2; 2θ 43.0, d = 2.103 Å, rel. 31.7, hkl 4 0 0; 2θ 47.1, d = 1.930 Å, rel. 5.7, hkl 3 3 1; 2θ 53.4, d = 1.717 Å, rel. 38.9, hkl 4 2 2; 2θ 56.9, d = 1.619 Å, rel. 2.8, hkl 3 3 3; 2θ 62.5, d = 1.487 Å, rel. 19.0, hkl 4 4 0; 2θ 70.8, d = 1.330 Å, rel. 18.0, hkl 6 2 0; 2θ 78.8, d = 1.214 Å, rel. 6.2, hkl 4 4 4; 2θ 86.6, d = 1.124 Å, rel. 21.2, hkl 6 4 2

Crystal structure
```
data_BaSrNdCrO6
_cell_length_a 8.4119
_cell_length_b 8.4119
_cell_length_c 8.4119
_cell_angle_alpha 90.00
_cell_angle_beta 90.00
_cell_angle_gamma 90.00
_symmetry_space_group_name_H-M 'F -4 3 m'
_symmetry_Int_Tables_number 216
_symmetry_space_group_name_Hall 'F -4 2 3'
loop_
_atom_site_label
_atom_site_fract_x
_atom_site_fract_y
_atom_site_fract_z
_atom_site_occupancy
Ba1 0.0000 0.0000 0.0000 1
Sr1 0.0000 0.0000 0.5000 1
Nd1 0.2500 0.2500 0.7500 1
Cr1 0.2500 0.2500 0.2500 1
O1 0.0241 0.2500 0.2500 1
```